No. 1
Structure and theoretical powder diffraction line list of Sc4SnGe (a crystal structure in Alexandria, relaxed with GGA-PBE; Cu Kα).
Neutral-atom scattering factors, no anomalous dispersion.

Cell and atoms:
Lattice parameters (Å, degrees): 7.9761 7.9761 7.9462 101.83 101.83 33.62
Element x y z (fractional)
Sc 0.0466 0.0466 0.3503
Sc 0.1918 0.1918 0.1182
Sc 0.3183 0.3183 0.5042
Sc 0.4218 0.4218 0.1377
Sc 0.5782 0.5782 0.8623
Sc 0.6817 0.6817 0.4958
Sc 0.8082 0.8082 0.8818
Sc 0.9534 0.9534 0.6497
Sn 0.1905 0.1905 0.7450
Sn 0.8095 0.8095 0.2550
Ge 0.0000 0.0000 0.0000
Ge 0.5000 0.5000 0.5000

The 8 most intense peaks (2θ from 10° to 80°), by angle:
d [Å], 2θ/deg, Rel. int.
3.732, 23.84, 54.1
2.825, 31.67, 28.0
2.756, 32.49, 25.8
2.520, 35.63, 75.2
2.505, 35.85, 31.7
2.382, 37.77, 34.2
2.305, 39.08, 100.0
2.296, 39.25, 97.2

=====

No. 2
Structure and theoretical powder diffraction line list of Ce5S4Br (a crystal structure in Alexandria, relaxed with GGA-PBE; Cu Kα).
Neutral-atom scattering factors, no anomalous dispersion.

Cell and atoms:
Lattice parameters (Å, degrees): 17.1390 17.1390 17.1390 13.45 13.45 13.45
Element x y z (fractional)
Ce 0.0000 0.0000 0.0000
Ce 0.2059 0.2059 0.2059
Ce 0.3981 0.3981 0.3981
Ce 0.6019 0.6019 0.6019
Ce 0.7941 0.7941 0.7941
S 0.0967 0.0967 0.0967
S 0.3010 0.3010 0.3010
S 0.6990 0.6990 0.6990
S 0.9033 0.9033 0.9033
Br 0.5000 0.5000 0.5000

The 8 most intense peaks (2θ from 10° to 80°), by angle:
d [Å], 2θ/deg, Rel. int.
3.396, 26.24, 12.2
3.289, 27.11, 40.0
2.871, 31.15, 100.0
2.055, 44.08, 32.3
2.007, 45.19, 36.7
1.728, 53.01, 11.4
1.645, 55.90, 18.4
1.272, 74.61, 15.5